# 1
Diffraction record for Li4I3N2. The X-ray powder pattern is simulated, not measured: it uses DFT lattice parameters and positions (GGA-PBE) and Cu Kα X-rays.

Structure:
abc: 7.1475 7.1475 11.3081
angles: 100.83 100.83 63.15
Atoms (fractional coordinates):
Li1 0.1014 0.7515 0.9334
Li2 0.2485 0.8986 0.5666
Li3 0.2644 0.3833 0.5537
Li4 0.3833 0.2644 0.0537
Li5 0.6167 0.7356 0.9463
Li6 0.7356 0.6167 0.4463
Li7 0.7515 0.1014 0.4334
Li8 0.8986 0.2485 0.0666
I1 0.0573 0.6885 0.3872
I2 0.3115 0.9427 0.1128
I3 0.3505 0.6495 0.7500
I4 0.6495 0.3505 0.2500
I5 0.6885 0.0573 0.8872
I6 0.9427 0.3115 0.6128
N1 0.0816 0.5014 0.9971
N2 0.4986 0.9184 0.5029
N3 0.5014 0.0816 0.4971
N4 0.9184 0.4986 0.0029

Top 10 peaks for 2θ from 15° to 90°, by angle:
- 15.3 deg, I = 17
- 20.1 deg, I = 26
- 23.8 deg, I = 18
- 24.3 deg, I = 51
- 25.1 deg, I = 100
- 26.6 deg, I = 59
- 30.3 deg, I = 22
- 39.7 deg, I = 26
- 42.4 deg, I = 17
- 45.1 deg, I = 22

# 2
Diffraction record for Li5I2N. The X-ray powder pattern is simulated, not measured: it uses DFT lattice parameters and positions (GGA-PBE) and Cu Kα X-rays.

Structure:
abc: 8.3925 5.9195 13.2656
angles: 90.00 90.00 90.00
Atoms (fractional coordinates):
Li1 0.0000 0.0000 0.0000
Li2 0.0000 0.5000 0.0000
Li3 0.0336 0.2500 0.1805
Li4 0.2022 0.5254 0.5911
Li5 0.2022 0.9746 0.5911
Li6 0.2470 0.2500 0.9200
Li7 0.2530 0.7500 0.4200
Li8 0.2978 0.0254 0.0911
Li9 0.2978 0.4746 0.0911
Li10 0.4664 0.7500 0.6805
Li11 0.5000 0.0000 0.5000
Li12 0.5000 0.5000 0.5000
Li13 0.5336 0.2500 0.3195
Li14 0.7022 0.5254 0.9089
Li15 0.7022 0.9746 0.9089
Li16 0.7470 0.2500 0.5800
Li17 0.7530 0.7500 0.0800
Li18 0.7978 0.0254 0.4089
Li19 0.7978 0.4746 0.4089
Li20 0.9664 0.7500 0.8195
I1 0.0761 0.2500 0.7450
I2 0.1348 0.2500 0.4135
I3 0.3652 0.7500 0.9135
I4 0.4239 0.7500 0.2450
I5 0.5761 0.2500 0.7550
I6 0.6348 0.2500 0.0865
I7 0.8652 0.7500 0.5865
I8 0.9239 0.7500 0.2550
N1 0.1419 0.2500 0.0524
N2 0.3581 0.7500 0.5524
N3 0.6419 0.2500 0.4476
N4 0.8581 0.7500 0.9476

Top 10 peaks for 2θ from 15° to 90°, by angle:
- 17.0 deg, I = 15
- 19.5 deg, I = 21
- 25.1 deg, I = 100
- 26.0 deg, I = 73
- 26.9 deg, I = 14
- 29.3 deg, I = 51
- 30.2 deg, I = 29
- 32.7 deg, I = 20
- 42.6 deg, I = 38
- 49.0 deg, I = 22

# 3
Diffraction record for Li7IN2. The X-ray powder pattern is simulated, not measured: it uses DFT lattice parameters and positions (GGA-PBE) and Cu Kα X-rays.

Structure:
abc: 7.3615 7.3615 7.3592
angles: 119.86 119.86 60.12
Atoms (fractional coordinates):
Li1 0.0000 0.0000 0.0000
Li2 0.0607 0.0607 0.5772
Li3 0.0611 0.4223 0.9389
Li4 0.0683 0.4138 0.5858
Li5 0.2062 0.2062 0.2211
Li6 0.2068 0.7786 0.7939
Li7 0.2689 0.7828 0.2170
Li8 0.4138 0.0683 0.5858
Li9 0.4140 0.4140 0.9312
Li10 0.4223 0.0611 0.9389
Li11 0.7786 0.2068 0.7939
Li12 0.7828 0.2689 0.2170
Li13 0.7832 0.7832 0.7300
Li14 0.8830 0.8830 0.1153
I1 0.4857 0.4857 0.5131
I2 0.7248 0.7248 0.2735
N1 0.1036 0.1036 0.3580
N2 0.1036 0.6418 0.8961
N3 0.1128 0.1128 0.8870
N4 0.6418 0.1036 0.8961

Top 10 peaks for 2θ from 15° to 90°, by angle:
- 24.2 deg, I = 100
- 28.4 deg, I = 89
- 34.4 deg, I = 18
- 37.6 deg, I = 28
- 42.5 deg, I = 28
- 45.2 deg, I = 27
- 49.4 deg, I = 13
- 55.8 deg, I = 21
- 67.2 deg, I = 15
- 69.2 deg, I = 12

# 4
Diffraction record for Li2IN. The X-ray powder pattern is simulated, not measured: it uses DFT lattice parameters and positions (GGA-PBE) and Cu Kα X-rays.

Structure:
abc: 7.3314 7.3314 7.3314
angles: 139.69 139.69 58.33
Atoms (fractional coordinates):
Li1 0.3750 0.0120 0.1370
Li2 0.7620 0.6250 0.6370
Li3 0.8750 0.2380 0.8630
Li4 0.9880 0.1250 0.3630
I1 0.2500 0.7500 0.5000
I2 0.5000 0.5000 0.0000
N1 0.0000 0.0000 0.0000
N2 0.7500 0.2500 0.5000

Top 10 peaks for 2θ from 15° to 90°, by angle:
- 18.9 deg, I = 77
- 27.4 deg, I = 39
- 27.9 deg, I = 23
- 28.6 deg, I = 100
- 35.5 deg, I = 26
- 40.5 deg, I = 27
- 45.4 deg, I = 16
- 45.8 deg, I = 28
- 49.8 deg, I = 20
- 59.6 deg, I = 23

Copy entry 4 word for word.
Diffraction record for Li2IN. The X-ray powder pattern is simulated, not measured: it uses DFT lattice parameters and positions (GGA-PBE) and Cu Kα X-rays.

Structure:
abc: 7.3314 7.3314 7.3314
angles: 139.69 139.69 58.33
Atoms (fractional coordinates):
Li1 0.3750 0.0120 0.1370
Li2 0.7620 0.6250 0.6370
Li3 0.8750 0.2380 0.8630
Li4 0.9880 0.1250 0.3630
I1 0.2500 0.7500 0.5000
I2 0.5000 0.5000 0.0000
N1 0.0000 0.0000 0.0000
N2 0.7500 0.2500 0.5000

Top 10 peaks for 2θ from 15° to 90°, by angle:
- 18.9 deg, I = 77
- 27.4 deg, I = 39
- 27.9 deg, I = 23
- 28.6 deg, I = 100
- 35.5 deg, I = 26
- 40.5 deg, I = 27
- 45.4 deg, I = 16
- 45.8 deg, I = 28
- 49.8 deg, I = 20
- 59.6 deg, I = 23

Repeat the second record exactly.
Diffraction record for Li5I2N. The X-ray powder pattern is simulated, not measured: it uses DFT lattice parameters and positions (GGA-PBE) and Cu Kα X-rays.

Structure:
abc: 8.3925 5.9195 13.2656
angles: 90.00 90.00 90.00
Atoms (fractional coordinates):
Li1 0.0000 0.0000 0.0000
Li2 0.0000 0.5000 0.0000
Li3 0.0336 0.2500 0.1805
Li4 0.2022 0.5254 0.5911
Li5 0.2022 0.9746 0.5911
Li6 0.2470 0.2500 0.9200
Li7 0.2530 0.7500 0.4200
Li8 0.2978 0.0254 0.0911
Li9 0.2978 0.4746 0.0911
Li10 0.4664 0.7500 0.6805
Li11 0.5000 0.0000 0.5000
Li12 0.5000 0.5000 0.5000
Li13 0.5336 0.2500 0.3195
Li14 0.7022 0.5254 0.9089
Li15 0.7022 0.9746 0.9089
Li16 0.7470 0.2500 0.5800
Li17 0.7530 0.7500 0.0800
Li18 0.7978 0.0254 0.4089
Li19 0.7978 0.4746 0.4089
Li20 0.9664 0.7500 0.8195
I1 0.0761 0.2500 0.7450
I2 0.1348 0.2500 0.4135
I3 0.3652 0.7500 0.9135
I4 0.4239 0.7500 0.2450
I5 0.5761 0.2500 0.7550
I6 0.6348 0.2500 0.0865
I7 0.8652 0.7500 0.5865
I8 0.9239 0.7500 0.2550
N1 0.1419 0.2500 0.0524
N2 0.3581 0.7500 0.5524
N3 0.6419 0.2500 0.4476
N4 0.8581 0.7500 0.9476

Top 10 peaks for 2θ from 15° to 90°, by angle:
- 17.0 deg, I = 15
- 19.5 deg, I = 21
- 25.1 deg, I = 100
- 26.0 deg, I = 73
- 26.9 deg, I = 14
- 29.3 deg, I = 51
- 30.2 deg, I = 29
- 32.7 deg, I = 20
- 42.6 deg, I = 38
- 49.0 deg, I = 22